# 1
Computed X-ray powder pattern of Sr11Bi10 for copper Kα, from a cell relaxed with GGA-PBE.
Peak positions follow from Bragg's law for the DFT cell and can differ from measured ones.

Atomic structure:
Lattice parameters (Å, degrees): 13.069 13.069 13.069 120.32 120.32 89.44
Sites, in units of the cell vectors:
Sr: 0.059 0.310 0.749
Sr: 0.104 0.443 0.339
Sr: 0.104 0.765 0.661
Sr: 0.161 0.161 0.000
Sr: 0.235 0.896 0.339
Sr: 0.310 0.059 0.749
Sr: 0.310 0.560 0.251
Sr: 0.335 0.335 0.669
Sr: 0.335 0.665 0.000
Sr: 0.440 0.690 0.749
Sr: 0.443 0.104 0.339
Sr: 0.557 0.896 0.661
Sr: 0.560 0.310 0.251
Sr: 0.665 0.335 0.000
Sr: 0.665 0.665 0.331
Sr: 0.690 0.440 0.749
Sr: 0.690 0.941 0.251
Sr: 0.765 0.104 0.661
Sr: 0.839 0.839 0.000
Sr: 0.896 0.235 0.339
Sr: 0.896 0.557 0.661
Sr: 0.941 0.690 0.251
Bi: 0.033 0.033 0.413
Bi: 0.033 0.620 0.000
Bi: 0.128 0.128 0.256
Bi: 0.128 0.872 0.000
Bi: 0.150 0.500 0.650
Bi: 0.250 0.750 0.500
Bi: 0.374 0.374 0.000
Bi: 0.380 0.380 0.413
Bi: 0.380 0.967 0.000
Bi: 0.500 0.150 0.650
Bi: 0.500 0.850 0.350
Bi: 0.620 0.033 0.000
Bi: 0.620 0.620 0.587
Bi: 0.626 0.626 0.000
Bi: 0.750 0.250 0.500
Bi: 0.850 0.500 0.350
Bi: 0.872 0.128 0.000
Bi: 0.872 0.872 0.744
Bi: 0.967 0.380 0.000
Bi: 0.967 0.967 0.587

The 10 most intense peaks (10 to 90 degrees two-theta), in order of rising 2θ:
2θ (°)	Rel. int.
21.01	68
28.51	32
28.65	68
28.84	29
29.06	100
29.13	59
31.72	56
37.51	54
41.65	42
57.24	32

=====

# 2
Computed X-ray powder pattern of Sr5Bi3 for copper Kα, from a cell relaxed with GGA-PBE.
Peak positions follow from Bragg's law for the DFT cell and can differ from measured ones.

Atomic structure:
Lattice parameters (Å, degrees): 9.778 9.778 7.582 90.00 90.00 120.00
Sites, in units of the cell vectors:
Sr: 0.000 0.251 0.250
Sr: 0.000 0.749 0.750
Sr: 0.251 0.000 0.250
Sr: 0.251 0.251 0.750
Sr: 0.333 0.667 0.000
Sr: 0.333 0.667 0.500
Sr: 0.667 0.333 0.000
Sr: 0.667 0.333 0.500
Sr: 0.749 0.000 0.750
Sr: 0.749 0.749 0.250
Bi: 0.000 0.391 0.750
Bi: 0.000 0.609 0.250
Bi: 0.391 0.000 0.750
Bi: 0.391 0.391 0.250
Bi: 0.609 0.000 0.250
Bi: 0.609 0.609 0.750

The 10 most intense peaks (10 to 90 degrees two-theta), in order of rising 2θ:
2θ (°)	Rel. int.
10.45	20
21.63	48
23.47	42
29.82	84
30.31	100
31.70	74
40.19	51
45.74	33
59.81	24
68.49	19

=====

Repeat the second record exactly.
Computed X-ray powder pattern of Sr5Bi3 for copper Kα, from a cell relaxed with GGA-PBE.
Peak positions follow from Bragg's law for the DFT cell and can differ from measured ones.

Atomic structure:
Lattice parameters (Å, degrees): 9.778 9.778 7.582 90.00 90.00 120.00
Sites, in units of the cell vectors:
Sr: 0.000 0.251 0.250
Sr: 0.000 0.749 0.750
Sr: 0.251 0.000 0.250
Sr: 0.251 0.251 0.750
Sr: 0.333 0.667 0.000
Sr: 0.333 0.667 0.500
Sr: 0.667 0.333 0.000
Sr: 0.667 0.333 0.500
Sr: 0.749 0.000 0.750
Sr: 0.749 0.749 0.250
Bi: 0.000 0.391 0.750
Bi: 0.000 0.609 0.250
Bi: 0.391 0.000 0.750
Bi: 0.391 0.391 0.250
Bi: 0.609 0.000 0.250
Bi: 0.609 0.609 0.750

The 10 most intense peaks (10 to 90 degrees two-theta), in order of rising 2θ:
2θ (°)	Rel. int.
10.45	20
21.63	48
23.47	42
29.82	84
30.31	100
31.70	74
40.19	51
45.74	33
59.81	24
68.49	19

=====

Q: Number 1 is which compound?
A: Sr11Bi10